No. 1
# AcAsS4
Computed X-ray diffraction stick pattern, Cu Kα, 1.54184 Å. Input: a DFT-relaxed cell (GGA-PBE, Alexandria).
No peak broadening, texture or thermal motion is included.

Most intense lines, 15° ≤ 2θ ≤ 90°, in order of falling intensity:
h k l  Position (°2θ)  d (Å)  I_rel
0 2 0  18.83  4.713  100
1 0 -1  19.11  4.645  84
1 1 1  24.58  3.621  51
2 1 0  31.62  2.830  45
1 3 1  36.65  2.452  35
1 2 -1  26.95  3.308  33
2 3 0  41.88  2.157  30
1 3 0  32.26  2.775  29
0 1 1  17.41  5.095  23
0 2 2  35.23  2.547  23
0 3 2  41.41  2.180  20
0 1 2  31.02  2.883  19

Structural model:
Lattice parameters (Å, degrees): 6.018 9.426 6.142 90.00 99.65 90.00
Space group P2_1/m (No. 11)
One atom of each set of equivalent atoms:
Ac 0.148 0.250 0.183 x2
As 0.368 0.750 0.317 x2
S 0.196 0.572 0.123 x4
S 0.270 0.250 0.689 x2
S 0.334 0.750 0.665 x2


No. 2
# Ho2TmTh6
Computed X-ray diffraction stick pattern, Cu Kα, 1.54184 Å. Input: a DFT-relaxed cell (GGA-PBE, Alexandria).
No peak broadening, texture or thermal motion is included.

Most intense lines, 15° ≤ 2θ ≤ 90°, in order of falling intensity:
h k l  Position (°2θ)  d (Å)  I_rel
1 1 2  30.43  2.937  100
4 2 -1  32.32  2.770  85
3 3 -3  37.56  2.395  58
0 4 0  30.58  2.924  50
1 5 2  49.19  1.852  27
2 2 -5  55.31  1.661  19
4 6 -1  55.46  1.657  19
3 7 -3  63.57  1.464  13
5 1 1  51.62  1.771  12
7 1 -4  51.47  1.775  12
8 4 -2  67.65  1.385  10
6 4 -6  69.75  1.348  10

Structural model:
Lattice parameters (Å, degrees): 13.059 11.694 9.224 90.00 125.51 90.00
Space group C2/c (No. 15)
One atom of each set of equivalent atoms:
Ho 0.167 0.126 0.417 x8
Tm 0.000 0.375 0.250 x4
Th 0.061 0.124 0.977 x8
Th 0.106 0.376 0.689 x8
Th 0.227 0.376 0.143 x8